[1]
For CdCu2GeSe2S2, a crystal structure in OQMD, relaxed with GGA-PBE gives the computed powder X-ray diffraction pattern in this record (Cu Ka).

Cell and atoms:
abc: 6.784 6.776 5.682
angles: 65.30 65.15 49.55
Element x y z (fractional)
Cd: 0.000 0.000 0.000
Cu: 0.269 0.269 0.231
Cu: 0.769 0.769 0.731
Ge: 0.501 0.501 0.499
Se: 0.410 0.874 0.126
Se: 0.874 0.410 0.590
S: 0.145 0.598 0.855
S: 0.598 0.145 0.402

Peak list (12 most intense, 2θ = 10–90°, in order of rising 2θ)
2θ 27.56, intensity 100.0; 2θ 35.62, intensity 7.4; 2θ 45.05, intensity 11.7; 2θ 45.21, intensity 11.9; 2θ 46.11, intensity 42.9; 2θ 53.65, intensity 13.7; 2θ 53.76, intensity 14.7; 2θ 55.42, intensity 12.4; 2θ 65.74, intensity 6.9; 2θ 74.14, intensity 9.5; 2θ 83.90, intensity 6.3; 2θ 84.13, intensity 6.6


[2]
For CdCu2GeSe3S, a crystal structure in OQMD, relaxed with GGA-PBE gives the computed powder X-ray diffraction pattern in this record (Cu Ka).

Cell and atoms:
abc: 5.767 5.767 6.842
angles: 114.49 114.49 90.11
Element x y z (fractional)
Cd: 0.000 0.000 0.000
Cu: 0.277 0.751 0.518
Cu: 0.751 0.277 0.518
Ge: 0.514 0.514 0.000
Se: 0.144 0.144 0.730
Se: 0.415 0.878 0.278
Se: 0.878 0.415 0.278
S: 0.606 0.606 0.738

Peak list (12 most intense, 2θ = 10–90°, in order of rising 2θ)
2θ 27.03, intensity 46.8; 2θ 27.13, intensity 100.0; 2θ 27.31, intensity 52.0; 2θ 35.69, intensity 9.4; 2θ 44.43, intensity 48.0; 2θ 45.22, intensity 46.0; 2θ 45.58, intensity 43.4; 2θ 52.73, intensity 29.7; 2θ 52.90, intensity 14.7; 2θ 53.05, intensity 11.8; 2θ 54.53, intensity 12.7; 2θ 64.65, intensity 13.9


[3]
For CdCu2GeSe2S2, a crystal structure in OQMD, relaxed with GGA-PBE gives the computed powder X-ray diffraction pattern in this record (Cu Ka).

Cell and atoms:
abc: 6.729 6.729 5.694
angles: 114.10 114.10 49.88
Element x y z (fractional)
Cd: 0.000 0.000 0.000
Cu: 0.240 0.260 0.723
Cu: 0.740 0.760 0.277
Ge: 0.474 0.526 0.500
Se: 0.576 0.149 0.132
Se: 0.851 0.424 0.868
S: 0.121 0.612 0.596
S: 0.388 0.879 0.404

Peak list (12 most intense, 2θ = 10–90°, in order of rising 2θ)
2θ 27.40, intensity 89.1; 2θ 27.75, intensity 100.0; 2θ 36.12, intensity 7.4; 2θ 45.11, intensity 43.0; 2θ 45.67, intensity 21.5; 2θ 46.20, intensity 40.9; 2θ 46.56, intensity 18.9; 2θ 53.33, intensity 14.2; 2θ 53.67, intensity 16.7; 2θ 53.90, intensity 20.9; 2θ 55.24, intensity 14.1; 2θ 55.82, intensity 11.4


[4]
For CdCu2GeSeS3, a crystal structure in OQMD, relaxed with GGA-PBE gives the computed powder X-ray diffraction pattern in this record (Cu Ka).

Cell and atoms:
abc: 5.608 5.608 6.644
angles: 114.57 114.57 89.91
Element x y z (fractional)
Cd: 0.000 0.000 0.000
Cu: 0.266 0.741 0.518
Cu: 0.741 0.266 0.518
Ge: 0.487 0.487 0.000
Se: 0.862 0.862 0.279
S: 0.133 0.587 0.736
S: 0.399 0.399 0.273
S: 0.587 0.133 0.736

Peak list (12 most intense, 2θ = 10–90°, in order of rising 2θ)
2θ 27.79, intensity 49.5; 2θ 27.97, intensity 100.0; 2θ 28.11, intensity 55.8; 2θ 31.92, intensity 12.5; 2θ 45.77, intensity 44.4; 2θ 46.61, intensity 42.8; 2θ 47.03, intensity 40.4; 2θ 54.28, intensity 16.6; 2θ 54.42, intensity 13.4; 2θ 54.62, intensity 26.8; 2θ 56.35, intensity 14.3; 2θ 66.72, intensity 12.6


[5]
For CdCu2GeTeS3, a crystal structure in OQMD, relaxed with GGA-PBE gives the computed powder X-ray diffraction pattern in this record (Cu Ka).

Cell and atoms:
abc: 5.713 5.713 6.733
angles: 114.34 114.34 89.65
Element x y z (fractional)
Cd: 0.000 0.000 0.000
Cu: 0.282 0.732 0.540
Cu: 0.732 0.282 0.540
Ge: 0.472 0.472 0.005
Te: 0.865 0.865 0.300
S: 0.128 0.580 0.746
S: 0.389 0.389 0.278
S: 0.580 0.128 0.746

Peak list (12 most intense, 2θ = 10–90°, in order of rising 2θ)
2θ 17.38, intensity 14.6; 2θ 27.04, intensity 53.8; 2θ 27.49, intensity 100.0; 2θ 27.72, intensity 64.3; 2θ 28.77, intensity 14.8; 2θ 44.75, intensity 25.0; 2θ 45.02, intensity 23.8; 2θ 45.46, intensity 48.3; 2θ 46.33, intensity 41.9; 2θ 52.93, intensity 18.8; 2θ 53.70, intensity 25.8; 2θ 55.22, intensity 15.8


[6]
For CdCu2GeTe3S, a crystal structure in OQMD, relaxed with GGA-PBE gives the computed powder X-ray diffraction pattern in this record (Cu Ka).

Cell and atoms:
abc: 6.069 6.069 7.185
angles: 114.28 114.28 90.07
Element x y z (fractional)
Cd: 0.000 0.000 0.000
Cu: 0.304 0.757 0.535
Cu: 0.757 0.304 0.535
Ge: 0.536 0.536 0.000
Te: 0.153 0.153 0.732
Te: 0.425 0.899 0.290
Te: 0.899 0.425 0.290
S: 0.624 0.624 0.746

Peak list (12 most intense, 2θ = 10–90°, in order of rising 2θ)
2θ 25.54, intensity 44.6; 2θ 25.75, intensity 100.0; 2θ 26.00, intensity 50.2; 2θ 33.83, intensity 14.4; 2θ 42.12, intensity 47.8; 2θ 42.68, intensity 46.0; 2θ 43.27, intensity 41.1; 2θ 49.82, intensity 30.5; 2θ 50.14, intensity 14.4; 2θ 50.31, intensity 10.8; 2θ 51.52, intensity 11.1; 2θ 61.08, intensity 13.8


[7]
For CdCu2GeTe2Se2, a crystal structure in OQMD, relaxed with GGA-PBE gives the computed powder X-ray diffraction pattern in this record (Cu Ka).

Cell and atoms:
abc: 7.218 7.209 6.043
angles: 65.32 65.16 49.52
Element x y z (fractional)
Cd: 0.000 0.000 0.000
Cu: 0.270 0.270 0.230
Cu: 0.770 0.770 0.730
Ge: 0.500 0.500 0.500
Te: 0.410 0.883 0.117
Te: 0.883 0.410 0.590
Se: 0.140 0.603 0.860
Se: 0.603 0.140 0.397

Peak list (12 most intense, 2θ = 10–90°, in order of rising 2θ)
2θ 25.88, intensity 100.0; 2θ 33.42, intensity 5.6; 2θ 42.22, intensity 13.0; 2θ 42.38, intensity 12.8; 2θ 43.19, intensity 45.8; 2θ 50.21, intensity 14.5; 2θ 50.31, intensity 15.7; 2θ 51.82, intensity 12.7; 2θ 61.37, intensity 7.9; 2θ 69.03, intensity 9.7; 2θ 77.87, intensity 7.1; 2θ 78.09, intensity 6.9


[8]
For CdCu2GeTe2Se2, a crystal structure in OQMD, relaxed with GGA-PBE gives the computed powder X-ray diffraction pattern in this record (Cu Ka).

Cell and atoms:
abc: 7.179 7.179 6.032
angles: 114.11 114.11 49.73
Element x y z (fractional)
Cd: 0.000 0.000 0.000
Cu: 0.233 0.267 0.726
Cu: 0.733 0.767 0.274
Ge: 0.458 0.542 0.500
Te: 0.573 0.148 0.128
Te: 0.852 0.427 0.872
Se: 0.108 0.621 0.599
Se: 0.379 0.892 0.401

Peak list (12 most intense, 2θ = 10–90°, in order of rising 2θ)
2θ 25.77, intensity 94.2; 2θ 26.03, intensity 100.0; 2θ 42.37, intensity 48.4; 2θ 42.89, intensity 23.6; 2θ 43.20, intensity 44.8; 2θ 43.54, intensity 21.2; 2θ 50.12, intensity 15.5; 2θ 50.23, intensity 16.7; 2θ 50.38, intensity 11.9; 2θ 50.56, intensity 12.9; 2θ 51.58, intensity 14.1; 2θ 52.02, intensity 12.3